Simulated powder XRD pattern
Compound: CuAuI3
Radiation: Cu Ka
Structure: a structure optimized by DFT (PBE)

Most intense lines, 2θ = 10–80°, in order of rising 2θ:
(hkl)  2theta  I/Imax
0 4 1  18.5  100
0 6 0  20.7  27
0 6 1  24.1  44
1 3 1  27.4  81
1 5 2  37.7  27
1 9 1  40.6  35
1 7 2  41.6  25
1 1 3  43.9  33

Crystal structure
a b c (Å): 4.036 25.731 7.228
angles (deg): 90.00 90.00 90.00
Space group Cmc2_1 (No. 36)
Unique sites:
Cu 0.000 0.197 0.000
Au 0.000 0.415 0.047
I 0.000 0.052 0.334
I 0.000 0.271 0.717
I 0.000 0.368 0.368